No. 1
The following is a theoretical powder XRD pattern of Pa3Si4Ir4. It was derived from a cell relaxed with PBE, using a wavelength of 1.5418 Å.
Peak positions follow from Bragg's law for the DFT cell and can differ from measured ones.

Peak list (10 most intense, 15° ≤ 2θ ≤ 90°, by angle)
two_theta  I/Imax
24.0  17
29.3  24
34.4  27
34.7  100
43.5  23
46.4  32
56.6  13
65.5  12
74.2  11
78.3  13

Crystal structure
Lattice parameters (Å, degrees): 12.5344 12.5344 12.5344 162.02 160.90 26.35
Element x y z (fractional)
Pa (0.0000, 0.0000, 0.0000)
Pa (0.3543, 0.8543, 0.5000)
Pa (0.6457, 0.1457, 0.5000)
Si (0.1945, 0.6945, 0.5000)
Si (0.4520, 0.4520, 0.0000)
Si (0.5480, 0.5480, 0.0000)
Si (0.8055, 0.3055, 0.5000)
Ir (0.0957, 0.5957, 0.5000)
Ir (0.2511, 0.2511, 0.0000)
Ir (0.7489, 0.7489, 0.0000)
Ir (0.9043, 0.4043, 0.5000)

No. 2
The following is a theoretical powder XRD pattern of AgSn3Pb. It was derived from a cell relaxed with PBE, using a wavelength of 1.5418 Å.
Peak positions follow from Bragg's law for the DFT cell and can differ from measured ones.

Peak list (10 most intense, 15° ≤ 2θ ≤ 90°, by angle)
two_theta  I/Imax
24.5  23
29.3  21
32.0  100
32.7  22
40.8  12
41.3  35
50.3  23
53.7  24
60.8  18
82.7  17

Crystal structure
Lattice parameters (Å, degrees): 7.2626 7.2626 6.0921 90.00 90.00 120.05
Element x y z (fractional)
Ag (0.0000, 0.0000, 0.0000)
Ag (0.0000, 0.0000, 0.5000)
Sn (0.1921, 0.3845, 0.7500)
Sn (0.1922, 0.8078, 0.7500)
Sn (0.3845, 0.1921, 0.2500)
Sn (0.6155, 0.8079, 0.7500)
Sn (0.8078, 0.1922, 0.2500)
Sn (0.8079, 0.6155, 0.2500)
Pb (0.3333, 0.6667, 0.2500)
Pb (0.6667, 0.3333, 0.7500)

No. 3
The following is a theoretical powder XRD pattern of Ac2Mg3Hg4. It was derived from a cell relaxed with PBE, using a wavelength of 1.5418 Å.
Peak positions follow from Bragg's law for the DFT cell and can differ from measured ones.

Peak list (10 most intense, 15° ≤ 2θ ≤ 90°, by angle)
two_theta  I/Imax
23.3  27
23.6  42
29.5  33
30.4  66
31.1  100
33.1  32
33.7  65
33.8  35
34.1  94
49.7  28

Crystal structure
Lattice parameters (Å, degrees): 9.2183 9.2183 8.3928 90.00 90.00 137.10
Element x y z (fractional)
Ac (0.1123, 0.8877, 0.9143)
Ac (0.3877, 0.6123, 0.4143)
Ac (0.6123, 0.3877, 0.5857)
Ac (0.8877, 0.1123, 0.0857)
Mg (0.0000, 0.0000, 0.5000)
Mg (0.0301, 0.4699, 0.7500)
Mg (0.4699, 0.0301, 0.2500)
Mg (0.5000, 0.5000, 0.0000)
Mg (0.5301, 0.9699, 0.7500)
Mg (0.9699, 0.5301, 0.2500)
Hg (0.1789, 0.8211, 0.5314)
Hg (0.1999, 0.3001, 0.7500)
Hg (0.3001, 0.1999, 0.2500)
Hg (0.3211, 0.6789, 0.0314)
Hg (0.6789, 0.3211, 0.9686)
Hg (0.6999, 0.8001, 0.7500)
Hg (0.8001, 0.6999, 0.2500)
Hg (0.8211, 0.1789, 0.4686)